No. 1
Diffraction record for PaSi3Pd5. The X-ray diffraction stick pattern is calculated, not measured: it uses the GGA-PBE geometry in Alexandria and λ = 1.5418 Å (Cu Kα).
Lines closer than 0.1° are merged.

Cell and atoms:
Unit cell a=6.6335 b=6.6335 c=12.5542 alpha=90.00 beta=90.00 gamma=146.50
Sites, in units of the cell vectors:
Pa 0.1408 0.8592 0.7500
Pa 0.8592 0.1408 0.2500
Si 0.1250 0.8750 0.2500
Si 0.3851 0.6149 0.0457
Si 0.3851 0.6149 0.4543
Si 0.6149 0.3851 0.5457
Si 0.6149 0.3851 0.9543
Si 0.8750 0.1250 0.7500
Pd 0.0000 0.0000 0.0000
Pd 0.0000 0.0000 0.5000
Pd 0.2065 0.7935 0.0752
Pd 0.2065 0.7935 0.4248
Pd 0.4468 0.5532 0.6457
Pd 0.4468 0.5532 0.8543
Pd 0.5532 0.4468 0.1457
Pd 0.5532 0.4468 0.3543
Pd 0.7935 0.2065 0.5752
Pd 0.7935 0.2065 0.9248

Top 10 peaks for 10° ≤ 2θ ≤ 90°, sorted by position:
Position (°2θ)	I_rel
25.49	68
31.55	100
32.34	62
32.49	100
34.69	54
37.75	86
43.33	35
45.22	38
45.65	29
47.57	47



No. 2
Diffraction record for Np2Mn2As2S. The X-ray diffraction stick pattern is calculated, not measured: it uses the GGA-PBE geometry in Alexandria and λ = 1.5418 Å (Cu Kα).
Lines closer than 0.1° are merged.

Cell and atoms:
Unit cell a=8.0435 b=8.0435 c=8.0435 alpha=149.43 beta=149.43 gamma=43.77
Sites, in units of the cell vectors:
Np 0.1741 0.1741 0.0000
Np 0.8259 0.8259 0.0000
Mn 0.0000 0.5000 0.5000
Mn 0.5000 0.0000 0.5000
As 0.3746 0.3746 0.0000
As 0.6254 0.6254 0.0000
S 0.0000 0.0000 0.0000

Top 10 peaks for 10° ≤ 2θ ≤ 90°, sorted by position:
Position (°2θ)	I_rel
27.64	81
29.80	100
32.17	69
36.10	37
36.82	83
38.52	53
42.65	76
51.58	32
57.08	39
57.58	46